Computed X-ray powder pattern of Pm2TiNiO6 for Cu Kα (λ = 1.5418 Å), from a GGA+U-relaxed structure.

Crystal structure
Unit cell a=5.435 b=5.679 c=9.464 alpha=90.00 beta=124.72 gamma=90.00
Positions (direct):
Pm 0.233 0.061 0.249
Pm 0.233 0.439 0.749
Pm 0.767 0.561 0.251
Pm 0.767 0.939 0.751
Ti 0.500 0.000 0.000
Ti 0.500 0.500 0.500
Ni 0.000 0.000 0.500
Ni 0.000 0.500 0.000
O 0.158 0.193 0.951
O 0.158 0.307 0.451
O 0.255 0.710 0.947
O 0.255 0.790 0.447
O 0.355 0.031 0.757
O 0.355 0.469 0.257
O 0.645 0.531 0.743
O 0.645 0.969 0.243
O 0.745 0.210 0.553
O 0.745 0.290 0.053
O 0.842 0.693 0.549
O 0.842 0.807 0.049

The 10 most intense peaks (10 to 90 degrees two-theta), by angle:
2θ (°), I_rel, (hkl)
22.65, 353, 1 1 -1
22.86, 238, 0 0 2
25.41, 355, 1 1 0
31.51, 390, 0 2 0
32.33, 1000, 1 1 1
32.47, 994, 1 1 -3
32.96, 493, 2 0 -2
33.60, 235, 0 2 1
46.24, 399, 2 2 -2
46.71, 294, 0 0 4